For HgPd2Au9, the PBE geometry in Alexandria gives the calculated powder diffractogram in this record (Cu Kα, 1.54184 Å).

Unit cell a=5.898 b=6.511 c=6.517 alpha=95.86 beta=115.79 gamma=103.06
Space group P-1 (No. 2)
Asymmetric unit:
1 Hg 0.000 0.000 0.000 x1
2 Pd 0.246 0.331 0.834 x2
3 Au 0.001 0.337 0.336 x2
4 Au 0.251 0.001 0.504 x2
5 Au 0.255 0.662 0.165 x2
6 Au 0.496 0.663 0.669 x2
7 Au 0.500 0.000 0.000 x1

Most intense lines, 2θ = 5–70°, by angle:
2theta  I_rel  index
18.59  2  0 1 -1
37.43  51  2 1 -1
37.60  100  0 1 2
37.70  50  0 2 -2
43.07  35  2 -1 1
43.97  65  0 3 0
63.06  22  2 2 1
63.43  22  0 1 -4
63.88  11  2 3 -3
63.99  11  -2 3 3